# Pm4Y3Al4
Simulated powder XRD pattern, λ = 1.5418 Å (Cu Kα). Input: the PBE geometry in Alexandria.

Cell and atoms:
Lattice parameters (Å, degrees): 10.5851 10.5851 10.5851 160.67 128.37 55.64
Positions (direct):
Pm 0.0122 0.8349 0.1773
Pm 0.3424 0.1651 0.1773
Pm 0.6576 0.8349 0.8227
Pm 0.9878 0.1651 0.8227
Y 0.0000 0.5000 0.5000
Y 0.4064 0.4064 0.0000
Y 0.5936 0.5936 0.0000
Al 0.2758 0.7758 0.5000
Al 0.2788 0.0000 0.2788
Al 0.7212 0.0000 0.7212
Al 0.7242 0.2242 0.5000

Peak list (6 most intense, 10° ≤ 2θ ≤ 80°, sorted by position)
- 28.91°, rel. 90
- 32.16°, rel. 78
- 32.48°, rel. 100
- 33.11°, rel. 56
- 34.75°, rel. 68
- 48.86°, rel. 67

---

# LiAc2Ge2Ir
Simulated powder XRD pattern, λ = 1.5418 Å (Cu Kα). Input: the PBE geometry in Alexandria.

Cell and atoms:
Lattice parameters (Å, degrees): 8.6462 8.6462 8.6462 136.76 61.68 138.23
Positions (direct):
Li 0.2500 0.2500 0.0000
Li 0.7500 0.7500 0.0000
Ac 0.1583 0.7427 0.9010
Ac 0.3417 0.2427 0.5844
Ac 0.6583 0.7573 0.4156
Ac 0.8417 0.2573 0.0990
Ge 0.0942 0.2515 0.3457
Ge 0.4058 0.7515 0.1573
Ge 0.5942 0.2485 0.8427
Ge 0.9058 0.7485 0.6543
Ir 0.2500 0.7500 0.5000
Ir 0.7500 0.2500 0.5000

Peak list (6 most intense, 10° ≤ 2θ ≤ 80°, sorted by position)
- 15.13°, rel. 46
- 23.38°, rel. 59
- 31.44°, rel. 100
- 37.18°, rel. 59
- 37.95°, rel. 46
- 40.73°, rel. 65